[1]
# Er3TmPb2
Simulated powder XRD pattern, λ = 1.5418 Å (Cu Kα). Input: a crystal structure in Alexandria, relaxed with PBE.

Structural model:
```
data_Er3TmPb2
_symmetry_space_group_name_H-M 'P -4 m 2'
_symmetry_Int_Tables_number 115
_symmetry_space_group_name_Hall 'P -4 -2'
_cell_length_a 4.5302
_cell_length_b 4.5302
_cell_length_c 8.4487
_cell_angle_alpha 90.00
_cell_angle_beta 90.00
_cell_angle_gamma 90.00
loop_
_atom_site_label
_atom_site_type_symbol
_atom_site_fract_x
_atom_site_fract_y
_atom_site_fract_z
Er1 Er 0.0000 0.0000 0.0000
Er2 Er 0.0000 0.5000 0.6607
Tm1 Tm 0.5000 0.5000 0.0000
Pb1 Pb 0.0000 0.5000 0.2852
```

The 12 most intense peaks (2θ from 10° to 90°), low angle first:
| Position (°2θ) | I_rel | hkl |
| --- | --- | --- |
| 27.85 | 21.0 | 1 1 0 |
| 29.83 | 76.9 | 1 1 1 |
| 31.77 | 38.0 | 0 0 3 |
| 35.16 | 100.0 | 1 1 2 |
| 37.61 | 15.1 | 1 0 3 |
| 39.80 | 57.4 | 2 0 0 |
| 51.80 | 42.8 | 2 0 3 |
| 57.54 | 19.8 | 2 2 0 |
| 62.10 | 17.9 | 1 1 5 |
| 66.16 | 16.2 | 3 1 1 |
| 67.25 | 18.0 | 2 2 3 |
| 69.25 | 28.6 | 3 1 2 |


[2]
# Er5TmPb2
Simulated powder XRD pattern, λ = 1.5418 Å (Cu Kα). Input: a crystal structure in Alexandria, relaxed with PBE.

Structural model:
```
data_Er5TmPb2
_symmetry_space_group_name_H-M 'P b a m'
_symmetry_Int_Tables_number 55
_symmetry_space_group_name_Hall '-P 2 2ab'
_cell_length_a 6.8118
_cell_length_b 13.6242
_cell_length_c 4.8148
_cell_angle_alpha 90.00
_cell_angle_beta 90.00
_cell_angle_gamma 90.00
loop_
_atom_site_label
_atom_site_type_symbol
_atom_site_fract_x
_atom_site_fract_y
_atom_site_fract_z
Er1 Er 0.0000 0.0000 0.0000
Er2 Er 0.0002 0.2505 0.0000
Er3 Er 0.2501 0.1249 0.5000
Tm1 Tm 0.0000 0.5000 0.0000
Pb1 Pb 0.2497 0.3752 0.5000
```

The 9 most intense peaks (2θ from 10° to 90°), low angle first:
| Position (°2θ) | I_rel | hkl |
| --- | --- | --- |
| 18.42 | 0.8 | 1 2 0 |
| 26.17 | 0.7 | 1 2 1 |
| 32.19 | 100.0 | 2 0 1 |
| 37.34 | 50.5 | 2 4 0 |
| 53.84 | 35.6 | 4 0 0 |
| 64.13 | 42.3 | 4 4 1 |
| 67.35 | 12.2 | 4 0 2 |
| 79.63 | 5.8 | 4 8 0 |
| 88.49 | 18.5 | 6 0 1 |


[3]
# Er4TmPb
Simulated powder XRD pattern, λ = 1.5418 Å (Cu Kα). Input: a crystal structure in Alexandria, relaxed with PBE.

Structural model:
```
data_Er4TmPb
_symmetry_space_group_name_H-M 'C 1 2/m 1'
_symmetry_Int_Tables_number 12
_symmetry_space_group_name_Hall '-C 2y'
_cell_length_a 11.1958
_cell_length_b 4.8071
_cell_length_c 6.9689
_cell_angle_alpha 90.00
_cell_angle_beta 110.79
_cell_angle_gamma 90.00
loop_
_atom_site_label
_atom_site_type_symbol
_atom_site_fract_x
_atom_site_fract_y
_atom_site_fract_z
Er1 Er 0.1537 0.0000 0.3235
Er2 Er 0.1829 0.0000 0.8300
Tm1 Tm 0.0000 0.5000 0.5000
Pb1 Pb 0.0000 0.5000 0.0000
```

The 12 most intense peaks (2θ from 10° to 90°), low angle first:
| Position (°2θ) | I_rel | hkl |
| --- | --- | --- |
| 31.71 | 100.0 | 1 1 -2 |
| 35.57 | 17.6 | 4 0 -2 |
| 37.38 | 32.6 | 0 2 0 |
| 52.45 | 5.2 | 6 0 0 |
| 52.58 | 17.7 | 2 0 -4 |
| 53.89 | 11.3 | 2 2 2 |
| 61.48 | 13.1 | 5 1 -4 |
| 63.84 | 12.8 | 1 1 4 |
| 63.95 | 13.6 | 1 3 -2 |
| 66.31 | 6.1 | 2 2 -4 |
| 86.21 | 5.7 | 3 1 -6 |
| 88.32 | 5.5 | 1 3 4 |


Copy entry 3 word for word.
# Er4TmPb
Simulated powder XRD pattern, λ = 1.5418 Å (Cu Kα). Input: a crystal structure in Alexandria, relaxed with PBE.

Structural model:
```
data_Er4TmPb
_symmetry_space_group_name_H-M 'C 1 2/m 1'
_symmetry_Int_Tables_number 12
_symmetry_space_group_name_Hall '-C 2y'
_cell_length_a 11.1958
_cell_length_b 4.8071
_cell_length_c 6.9689
_cell_angle_alpha 90.00
_cell_angle_beta 110.79
_cell_angle_gamma 90.00
loop_
_atom_site_label
_atom_site_type_symbol
_atom_site_fract_x
_atom_site_fract_y
_atom_site_fract_z
Er1 Er 0.1537 0.0000 0.3235
Er2 Er 0.1829 0.0000 0.8300
Tm1 Tm 0.0000 0.5000 0.5000
Pb1 Pb 0.0000 0.5000 0.0000
```

The 12 most intense peaks (2θ from 10° to 90°), low angle first:
| Position (°2θ) | I_rel | hkl |
| --- | --- | --- |
| 31.71 | 100.0 | 1 1 -2 |
| 35.57 | 17.6 | 4 0 -2 |
| 37.38 | 32.6 | 0 2 0 |
| 52.45 | 5.2 | 6 0 0 |
| 52.58 | 17.7 | 2 0 -4 |
| 53.89 | 11.3 | 2 2 2 |
| 61.48 | 13.1 | 5 1 -4 |
| 63.84 | 12.8 | 1 1 4 |
| 63.95 | 13.6 | 1 3 -2 |
| 66.31 | 6.1 | 2 2 -4 |
| 86.21 | 5.7 | 3 1 -6 |
| 88.32 | 5.5 | 1 3 4 |


Repeat the third record exactly.
# Er4TmPb
Simulated powder XRD pattern, λ = 1.5418 Å (Cu Kα). Input: a crystal structure in Alexandria, relaxed with PBE.

Structural model:
```
data_Er4TmPb
_symmetry_space_group_name_H-M 'C 1 2/m 1'
_symmetry_Int_Tables_number 12
_symmetry_space_group_name_Hall '-C 2y'
_cell_length_a 11.1958
_cell_length_b 4.8071
_cell_length_c 6.9689
_cell_angle_alpha 90.00
_cell_angle_beta 110.79
_cell_angle_gamma 90.00
loop_
_atom_site_label
_atom_site_type_symbol
_atom_site_fract_x
_atom_site_fract_y
_atom_site_fract_z
Er1 Er 0.1537 0.0000 0.3235
Er2 Er 0.1829 0.0000 0.8300
Tm1 Tm 0.0000 0.5000 0.5000
Pb1 Pb 0.0000 0.5000 0.0000
```

The 12 most intense peaks (2θ from 10° to 90°), low angle first:
| Position (°2θ) | I_rel | hkl |
| --- | --- | --- |
| 31.71 | 100.0 | 1 1 -2 |
| 35.57 | 17.6 | 4 0 -2 |
| 37.38 | 32.6 | 0 2 0 |
| 52.45 | 5.2 | 6 0 0 |
| 52.58 | 17.7 | 2 0 -4 |
| 53.89 | 11.3 | 2 2 2 |
| 61.48 | 13.1 | 5 1 -4 |
| 63.84 | 12.8 | 1 1 4 |
| 63.95 | 13.6 | 1 3 -2 |
| 66.31 | 6.1 | 2 2 -4 |
| 86.21 | 5.7 | 3 1 -6 |
| 88.32 | 5.5 | 1 3 4 |